Theoretical XRD peak list of P4WO12 for Cu Kα (λ = 1.5418 Å), from a cell relaxed with GGA+U.

Main lines, in order of rising 2θ (10° ≤ 2θ ≤ 80°):
2θ = 13.0°, intensity 503
2θ = 13.5°, intensity 370
2θ = 15.2°, intensity 1000
2θ = 18.6°, intensity 280
2θ = 20.4°, intensity 992
2θ = 21.3°, intensity 959
2θ = 22.9°, intensity 412
2θ = 27.1°, intensity 676
2θ = 30.9°, intensity 477
2θ = 36.8°, intensity 312

Atomic structure:
```
34
Lattice="7.572 -3.722 0.000 7.572 3.722 0.000 -4.191 0.000 8.724" Properties=species:S:1:pos:R:3 pbc="T T T"
P 2.101 2.602 7.366
P 6.756 2.602 5.720
P 3.859 0.329 2.586
P 1.763 -0.329 6.949
P 9.190 0.329 1.776
P 7.094 -0.329 6.138
P 4.197 -2.602 3.004
P 8.852 -2.602 1.358
W 6.524 2.483 2.181
W 4.429 -2.483 6.543
O 0.397 0.223 2.216
O 6.688 2.467 0.079
O -1.698 -0.223 6.578
O 2.774 0.592 1.390
O 2.124 1.215 6.610
O 6.360 2.467 4.284
O 5.084 1.082 2.076
O 3.323 0.562 3.929
O 0.679 -0.592 5.753
O 1.227 -0.562 8.291
O 7.965 1.082 2.287
O 6.734 1.215 6.476
O 4.219 -1.215 2.248
O 2.988 -1.082 6.438
O 9.726 0.562 0.433
O 10.274 0.592 2.972
O 7.630 -0.562 4.795
O 5.869 -1.082 6.649
O 4.593 -2.467 4.441
O 8.829 -1.215 2.114
O 8.179 -0.592 7.334
O 12.651 0.223 2.147
O 4.265 -2.467 8.646
O 10.556 -0.223 6.509
```